Record 1
For Ac2La5Ir4, a cell relaxed with PBE gives the calculated XRD peak list in this record (CuKα).

Most intense lines, 10° ≤ 2θ ≤ 90°, in order of rising 2θ:
d = 7.125 Å, I 58, (0 0 1); d = 3.591 Å, I 30, (1 1 -1); d = 2.988 Å, I 33, (6 0 1); d = 2.745 Å, I 100, (1 1 -2); d = 2.369 Å, I 44, (3 1 2); d = 2.045 Å, I 28, (0 2 0)

Cell and atoms:
```
data_Ac2La5Ir4
_symmetry_space_group_name_H-M 'C 1 2/m 1'
_symmetry_Int_Tables_number 12
_symmetry_space_group_name_Hall '-C 2y'
_cell_length_a 23.8254
_cell_length_b 4.0891
_cell_length_c 7.5040
_cell_angle_alpha 90.00
_cell_angle_beta 107.73
_cell_angle_gamma 90.00
loop_
_atom_site_label
_atom_site_type_symbol
_atom_site_fract_x
_atom_site_fract_y
_atom_site_fract_z
_atom_site_occupancy
Ac1 Ac 0.0722 0.0000 0.0400 1
La1 La 0.0000 0.0000 0.5000 1
La2 La 0.1769 0.5000 0.4262 1
La3 La 0.1849 0.5000 0.9099 1
Ir1 Ir 0.0228 0.5000 0.2369 1
Ir2 Ir 0.2095 0.0000 0.2042 1
```

---

Record 2
For AcLaPIr, a cell relaxed with PBE gives the calculated XRD peak list in this record (CuKα).

Most intense lines, 10° ≤ 2θ ≤ 90°, in order of rising 2θ:
d = 4.256 Å, I 21, (1 1 1); d = 2.606 Å, I 100, (2 2 0); d = 2.223 Å, I 12, (3 1 1); d = 1.843 Å, I 18, (4 0 0); d = 1.505 Å, I 38, (4 2 2); d = 1.166 Å, I 17, (6 2 0)

Cell and atoms:
```
data_AcLaPIr
_symmetry_space_group_name_H-M 'F -4 3 m'
_symmetry_Int_Tables_number 216
_symmetry_space_group_name_Hall 'F -4 2 3'
_cell_length_a 7.3715
_cell_length_b 7.3715
_cell_length_c 7.3715
_cell_angle_alpha 90.00
_cell_angle_beta 90.00
_cell_angle_gamma 90.00
loop_
_atom_site_label
_atom_site_type_symbol
_atom_site_fract_x
_atom_site_fract_y
_atom_site_fract_z
_atom_site_occupancy
Ac1 Ac 0.0000 0.0000 0.0000 1
La1 La 0.0000 0.0000 0.5000 1
P1 P 0.2500 0.2500 0.7500 1
Ir1 Ir 0.2500 0.2500 0.2500 1
```

---

Record 3
For AcLaIrPd, a cell relaxed with PBE gives the calculated XRD peak list in this record (CuKα).

Most intense lines, 10° ≤ 2θ ≤ 90°, in order of rising 2θ:
d = 2.914 Å, I 100, (1 1 1); d = 2.859 Å, I 36, (0 0 4); d = 2.409 Å, I 22, (1 0 4); d = 2.364 Å, I 73, (1 1 3); d = 2.237 Å, I 28, (2 0 0); d = 2.039 Å, I 21, (0 2 0)

Cell and atoms:
```
data_AcLaIrPd
_symmetry_space_group_name_H-M 'A m m 2'
_symmetry_Int_Tables_number 38
_symmetry_space_group_name_Hall 'A 2 -2'
_cell_length_a 4.4731
_cell_length_b 4.0773
_cell_length_c 11.4343
_cell_angle_alpha 90.00
_cell_angle_beta 90.00
_cell_angle_gamma 90.00
loop_
_atom_site_label
_atom_site_type_symbol
_atom_site_fract_x
_atom_site_fract_y
_atom_site_fract_z
_atom_site_occupancy
Ac1 Ac 0.0000 0.0000 0.0000 1
La1 La 0.5000 0.0000 0.2726 1
Ir1 Ir 0.0000 0.0000 0.7311 1
Pd1 Pd 0.5000 0.0000 0.5559 1
```

---

Record 4
For LiAc3Ir8, a cell relaxed with PBE gives the calculated XRD peak list in this record (CuKα).

Most intense lines, 10° ≤ 2θ ≤ 90°, in order of rising 2θ:
d = 2.345 Å, I 100, (2 0 2); d = 2.339 Å, I 34, (1 0 10); d = 2.246 Å, I 47, (0 2 4); d = 1.496 Å, I 34, (2 1 10); d = 1.376 Å, I 20, (2 2 0); d = 1.372 Å, I 18, (0 2 16)

Cell and atoms:
```
data_LiAc3Ir8
_symmetry_space_group_name_H-M 'R 3 m'
_symmetry_Int_Tables_number 160
_symmetry_space_group_name_Hall 'R 3 -2"'
_cell_length_a 5.5037
_cell_length_b 5.5037
_cell_length_c 26.8402
_cell_angle_alpha 90.00
_cell_angle_beta 90.00
_cell_angle_gamma 120.00
loop_
_atom_site_label
_atom_site_type_symbol
_atom_site_fract_x
_atom_site_fract_y
_atom_site_fract_z
_atom_site_occupancy
Li1 Li 0.0000 0.0000 0.0000 1
Ac1 Ac 0.0000 0.0000 0.1237 1
Ac2 Ac 0.0000 0.0000 0.5068 1
Ac3 Ac 0.0000 0.0000 0.6356 1
Ir1 Ir 0.0000 0.0000 0.3187 1
Ir2 Ir 0.0000 0.0000 0.8185 1
Ir3 Ir 0.0001 0.5000 0.0669 1
Ir4 Ir 0.0039 0.5019 0.5705 1
```

---

Record 5
For LiAc2IrO5, a cell relaxed with PBE gives the calculated XRD peak list in this record (CuKα).

Most intense lines, 10° ≤ 2θ ≤ 90°, in order of rising 2θ:
d = 5.815 Å, I 36, (0 0 1); d = 5.138 Å, I 63, (1 1 0); d = 3.081 Å, I 100, (2 0 1); d = 2.837 Å, I 72, (2 1 1); d = 2.167 Å, I 45, (2 1 2); d = 2.137 Å, I 50, (3 1 1)

Cell and atoms:
```
data_LiAc2IrO5
_symmetry_space_group_name_H-M 'P 4/m b m'
_symmetry_Int_Tables_number 127
_symmetry_space_group_name_Hall '-P 4 2ab'
_cell_length_a 7.2665
_cell_length_b 7.2665
_cell_length_c 5.8146
_cell_angle_alpha 90.00
_cell_angle_beta 90.00
_cell_angle_gamma 90.00
loop_
_atom_site_label
_atom_site_type_symbol
_atom_site_fract_x
_atom_site_fract_y
_atom_site_fract_z
_atom_site_occupancy
Li1 Li 0.0000 0.0000 0.0000 1
Ac1 Ac 0.1805 0.3195 0.5000 1
Ir1 Ir 0.0000 0.5000 0.0000 1
O1 O 0.0000 0.0000 0.5000 1
O2 O 0.1314 0.6314 0.2434 1
```

---

Record 6
For Ac2Mg6Ir3, a cell relaxed with PBE gives the calculated XRD peak list in this record (CuKα).

Most intense lines, 10° ≤ 2θ ≤ 90°, in order of rising 2θ:
d = 7.169 Å, I 40, (1 0 0); d = 4.139 Å, I 33, (1 1 0); d = 2.981 Å, I 100, (1 1 1); d = 2.753 Å, I 26, (2 0 1); d = 2.390 Å, I 34, (3 0 0); d = 2.292 Å, I 22, (2 1 1)

Cell and atoms:
```
data_Ac2Mg6Ir3
_symmetry_space_group_name_H-M 'P -6 2 m'
_symmetry_Int_Tables_number 189
_symmetry_space_group_name_Hall 'P -6 -2'
_cell_length_a 8.2785
_cell_length_b 8.2785
_cell_length_c 4.2980
_cell_angle_alpha 90.00
_cell_angle_beta 90.00
_cell_angle_gamma 120.00
loop_
_atom_site_label
_atom_site_type_symbol
_atom_site_fract_x
_atom_site_fract_y
_atom_site_fract_z
_atom_site_occupancy
Ac1 Ac 0.3333 0.6667 0.0000 1
Mg1 Mg 0.0000 0.2077 0.0000 1
Mg2 Mg 0.0000 0.7120 0.5000 1
Ir1 Ir 0.0000 0.3853 0.5000 1
```

---

Record 7
For AcMg3Ir, a cell relaxed with PBE gives the calculated XRD peak list in this record (CuKα).

Most intense lines, 10° ≤ 2θ ≤ 90°, in order of rising 2θ:
d = 6.983 Å, I 100, (0 0 1); d = 3.055 Å, I 21, (0 2 0); d = 2.799 Å, I 28, (0 2 1); d = 2.613 Å, I 24, (2 1 -1); d = 2.471 Å, I 23, (2 1 0); d = 2.352 Å, I 20, (1 1 2)

Cell and atoms:
```
data_AcMg3Ir
_symmetry_space_group_name_H-M 'P 1 21/m 1'
_symmetry_Int_Tables_number 11
_symmetry_space_group_name_Hall '-P 2yb'
_cell_length_a 5.7839
_cell_length_b 6.1091
_cell_length_c 7.4739
_cell_angle_alpha 90.00
_cell_angle_beta 110.88
_cell_angle_gamma 90.00
loop_
_atom_site_label
_atom_site_type_symbol
_atom_site_fract_x
_atom_site_fract_y
_atom_site_fract_z
_atom_site_occupancy
Ac1 Ac 0.0951 0.2500 0.3923 1
Mg1 Mg 0.0383 0.2500 0.8804 1
Mg2 Mg 0.4750 0.5048 0.2025 1
Ir1 Ir 0.3303 0.7500 0.4714 1
```

---

Record 8
For Ac6MgIr3, a cell relaxed with PBE gives the calculated XRD peak list in this record (CuKα).

Most intense lines, 10° ≤ 2θ ≤ 90°, in order of rising 2θ:
d = 6.373 Å, I 68, (1 0 -2); d = 3.292 Å, I 100, (1 1 2); d = 3.176 Å, I 77, (4 0 -2); d = 3.011 Å, I 50, (0 1 3); d = 2.530 Å, I 59, (0 1 4); d = 2.222 Å, I 64, (0 2 0)

Cell and atoms:
```
data_Ac6MgIr3
_symmetry_space_group_name_H-M 'P 1 21/m 1'
_symmetry_Int_Tables_number 11
_symmetry_space_group_name_Hall '-P 2yb'
_cell_length_a 12.9283
_cell_length_b 4.4434
_cell_length_c 12.9880
_cell_angle_alpha 90.00
_cell_angle_beta 108.62
_cell_angle_gamma 90.00
loop_
_atom_site_label
_atom_site_type_symbol
_atom_site_fract_x
_atom_site_fract_y
_atom_site_fract_z
_atom_site_occupancy
Ac1 Ac 0.0377 0.2500 0.3372 1
Ac2 Ac 0.1120 0.7500 0.9768 1
Ac3 Ac 0.2392 0.2500 0.8016 1
Ac4 Ac 0.2710 0.7500 0.2848 1
Ac5 Ac 0.4114 0.2500 0.5684 1
Ac6 Ac 0.4502 0.2500 0.1097 1
Mg1 Mg 0.1868 0.7500 0.5525 1
Ir1 Ir 0.0021 0.2500 0.8245 1
Ir2 Ir 0.3373 0.7500 0.9551 1
Ir3 Ir 0.4283 0.2500 0.3429 1
```

---

Record 9
For Ac3Mg7Ir4, a cell relaxed with PBE gives the calculated XRD peak list in this record (CuKα).

Most intense lines, 10° ≤ 2θ ≤ 90°, in order of rising 2θ:
d = 4.410 Å, I 57, (0 0 2); d = 3.140 Å, I 50, (3 1 0); d = 2.763 Å, I 62, (3 1 -3); d = 2.647 Å, I 100, (5 1 -2); d = 2.281 Å, I 43, (3 1 -4); d = 2.165 Å, I 46, (0 2 0)

Cell and atoms:
```
data_Ac3Mg7Ir4
_symmetry_space_group_name_H-M 'C 1 2/m 1'
_symmetry_Int_Tables_number 12
_symmetry_space_group_name_Hall '-C 2y'
_cell_length_a 16.7590
_cell_length_b 4.3301
_cell_length_c 10.8045
_cell_angle_alpha 90.00
_cell_angle_beta 125.28
_cell_angle_gamma 90.00
loop_
_atom_site_label
_atom_site_type_symbol
_atom_site_fract_x
_atom_site_fract_y
_atom_site_fract_z
_atom_site_occupancy
Ac1 Ac 0.0000 0.0000 0.0000 1
Ac2 Ac 0.1985 0.5000 0.7173 1
Mg1 Mg 0.0000 0.0000 0.5000 1
Mg2 Mg 0.0144 0.5000 0.2863 1
Mg3 Mg 0.1701 0.0000 0.4268 1
Mg4 Mg 0.1800 0.5000 0.0073 1
Ir1 Ir 0.1052 0.0000 0.8070 1
Ir2 Ir 0.1654 0.5000 0.2612 1
```

---

Record 10
For AcMg4Ir2, a cell relaxed with PBE gives the calculated XRD peak list in this record (CuKα).

Most intense lines, 10° ≤ 2θ ≤ 90°, in order of rising 2θ:
d = 5.854 Å, I 50, (1 1 0); d = 3.478 Å, I 76, (1 1 1); d = 2.927 Å, I 66, (2 2 0); d = 2.812 Å, I 100, (2 1 1); d = 2.326 Å, I 49, (3 0 1); d = 2.239 Å, I 53, (3 1 1)

Cell and atoms:
```
data_AcMg4Ir2
_symmetry_space_group_name_H-M 'P 42/m n m'
_symmetry_Int_Tables_number 136
_symmetry_space_group_name_Hall '-P 4n 2n'
_cell_length_a 8.2786
_cell_length_b 8.2786
_cell_length_c 4.3232
_cell_angle_alpha 90.00
_cell_angle_beta 90.00
_cell_angle_gamma 90.00
loop_
_atom_site_label
_atom_site_type_symbol
_atom_site_fract_x
_atom_site_fract_y
_atom_site_fract_z
_atom_site_occupancy
Ac1 Ac 0.0000 0.0000 0.0000 1
Mg1 Mg 0.0935 0.3387 0.5000 1
Ir1 Ir 0.2128 0.7872 0.5000 1
```

---

Record 11
For Ac4Mg5Ir2, a cell relaxed with PBE gives the calculated XRD peak list in this record (CuKα).

Most intense lines, 10° ≤ 2θ ≤ 90°, in order of rising 2θ:
d = 8.030 Å, I 100, (1 0 0); d = 6.504 Å, I 36, (1 0 -1); d = 2.938 Å, I 49, (1 1 2); d = 2.872 Å, I 41, (2 1 0); d = 2.624 Å, I 51, (0 1 3); d = 2.551 Å, I 41, (2 1 -2)

Cell and atoms:
```
data_Ac4Mg5Ir2
_symmetry_space_group_name_H-M 'P 1 2/m 1'
_symmetry_Int_Tables_number 10
_symmetry_space_group_name_Hall '-P 2y'
_cell_length_a 8.0440
_cell_length_b 4.1107
_cell_length_c 10.2395
_cell_angle_alpha 90.00
_cell_angle_beta 93.38
_cell_angle_gamma 90.00
loop_
_atom_site_label
_atom_site_type_symbol
_atom_site_fract_x
_atom_site_fract_y
_atom_site_fract_z
_atom_site_occupancy
Ac1 Ac 0.1684 0.0000 0.3480 1
Ac2 Ac 0.2141 0.0000 0.9493 1
Mg1 Mg 0.1859 0.5000 0.6616 1
Mg2 Mg 0.4418 0.5000 0.1813 1
Mg3 Mg 0.5000 0.5000 0.5000 1
Ir1 Ir 0.0715 0.5000 0.1498 1
```

---

Record 12
For Ac8Ir2N, a cell relaxed with PBE gives the calculated XRD peak list in this record (CuKα).

Most intense lines, 10° ≤ 2θ ≤ 90°, in order of rising 2θ:
d = 3.856 Å, I 60, (2 0 0); d = 3.266 Å, I 100, (0 2 1); d = 3.073 Å, I 50, (0 0 2); d = 2.403 Å, I 37, (2 0 2); d = 2.226 Å, I 51, (2 2 0); d = 1.803 Å, I 52, (2 2 2)

Cell and atoms:
```
data_Ac8Ir2N
_symmetry_space_group_name_H-M 'P -3 m 1'
_symmetry_Int_Tables_number 164
_symmetry_space_group_name_Hall '-P 3 2"'
_cell_length_a 8.9043
_cell_length_b 8.9043
_cell_length_c 6.1456
_cell_angle_alpha 90.00
_cell_angle_beta 90.00
_cell_angle_gamma 120.00
loop_
_atom_site_label
_atom_site_type_symbol
_atom_site_fract_x
_atom_site_fract_y
_atom_site_fract_z
_atom_site_occupancy
Ac1 Ac 0.1461 0.2922 0.2597 1
Ac2 Ac 0.3333 0.6667 0.7624 1
Ir1 Ir 0.3333 0.6667 0.2574 1
N1 N 0.0000 0.0000 0.5000 1
```

---

Record 13
For SrAcIrN2, a cell relaxed with PBE gives the calculated XRD peak list in this record (CuKα).

Most intense lines, 10° ≤ 2θ ≤ 90°, in order of rising 2θ:
d = 5.337 Å, I 47, (1 0 0); d = 3.086 Å, I 24, (0 1 2); d = 2.850 Å, I 22, (0 2 0); d = 2.671 Å, I 100, (1 1 2); d = 1.609 Å, I 18, (1 3 2); d = 1.542 Å, I 23, (3 1 2)

Cell and atoms:
```
data_SrAcIrN2
_symmetry_space_group_name_H-M 'P c c m'
_symmetry_Int_Tables_number 49
_symmetry_space_group_name_Hall '-P 2 2c'
_cell_length_a 5.3372
_cell_length_b 5.7003
_cell_length_c 7.3404
_cell_angle_alpha 90.00
_cell_angle_beta 90.00
_cell_angle_gamma 90.00
loop_
_atom_site_label
_atom_site_type_symbol
_atom_site_fract_x
_atom_site_fract_y
_atom_site_fract_z
_atom_site_occupancy
Sr1 Sr 0.0000 0.0000 0.2500 1
Ac1 Ac 0.5000 0.5000 0.2500 1
Ir1 Ir 0.5000 0.0000 0.0000 1
N1 N 0.2663 0.2606 0.0000 1
```